Record 1
Calculated powder diffraction line list
Compound: Cs3Th3BiTe8
Radiation: Cu Kα (weighted mean of Kα1 and Kα2)
Structure: a cell relaxed with PBE
Neutral-atom scattering factors, no anomalous dispersion.

Largest 6 diffraction maxima, by intensity, 10° ≤ 2θ ≤ 90°:
2θ 26.1, rel. 100
2θ 34.6, rel. 37
2θ 39.7, rel. 36
2θ 48.1, rel. 19
2θ 32.1, rel. 18
2θ 64.1, rel. 16

Atomic structure:
Unit cell a=9.0824 b=9.0824 c=27.6179 alpha=90.00 beta=90.00 gamma=120.00
Space group R-3m (No. 166, hexagonal axes)
Symmetry-distinct sites (fractional):
Cs 0.0000 0.5000 0.0000 (multiplicity 9)
Th 0.0000 0.5000 0.5000 (multiplicity 9)
Bi 0.0000 0.0000 0.5000 (multiplicity 3)
Te 0.0000 0.0000 0.2327 (multiplicity 6)
Te 0.0031 0.5015 0.7682 (multiplicity 18)

Record 2
Calculated powder diffraction line list
Compound: Cs4TiBi4
Radiation: Cu Kα (weighted mean of Kα1 and Kα2)
Structure: a cell relaxed with PBE
Neutral-atom scattering factors, no anomalous dispersion.

Largest 6 diffraction maxima, by intensity, 10° ≤ 2θ ≤ 90°:
2θ 26.0, rel. 100
2θ 20.6, rel. 64
2θ 36.6, rel. 53
2θ 29.9, rel. 44
2θ 12.4, rel. 38
2θ 16.0, rel. 27

Atomic structure:
Unit cell a=7.8290 b=7.8290 c=17.2569 alpha=90.00 beta=90.00 gamma=90.00
Space group I-42m (No. 121)
Symmetry-distinct sites (fractional):
Cs 0.1888 0.1888 0.3562 (multiplicity 8)
Ti 0.0000 0.0000 0.0000 (multiplicity 2)
Bi 0.1467 0.1467 0.1275 (multiplicity 8)

Record 3
Calculated powder diffraction line list
Compound: Cs3TlBi4
Radiation: Cu Kα (weighted mean of Kα1 and Kα2)
Structure: a cell relaxed with PBE
Neutral-atom scattering factors, no anomalous dispersion.

Largest 6 diffraction maxima, by intensity, 10° ≤ 2θ ≤ 90°:
2θ 14.5, rel. 100
2θ 21.1, rel. 71
2θ 25.1, rel. 67
2θ 31.9, rel. 67
2θ 28.0, rel. 64
2θ 43.0, rel. 55

Atomic structure:
Unit cell a=6.3844 b=6.5820 c=21.3266 alpha=90.00 beta=90.00 gamma=90.00
Space group Immm (No. 71)
Symmetry-distinct sites (fractional):
Cs 0.0000 0.0000 0.0000 (multiplicity 2)
Cs 0.0000 0.5000 0.1966 (multiplicity 4)
Tl 0.0000 0.0000 0.5000 (multiplicity 2)
Bi 0.0000 0.2777 0.3811 (multiplicity 8)

Record 4
Calculated powder diffraction line list
Compound: Cs2Tl5Bi3
Radiation: Cu Kα (weighted mean of Kα1 and Kα2)
Structure: a cell relaxed with PBE
Neutral-atom scattering factors, no anomalous dispersion.

Largest 6 diffraction maxima, by intensity, 10° ≤ 2θ ≤ 90°:
2θ 33.0, rel. 100
2θ 25.4, rel. 66
2θ 26.1, rel. 65
2θ 27.1, rel. 59
2θ 34.6, rel. 46
2θ 35.4, rel. 43

Atomic structure:
Unit cell a=13.7517 b=15.7641 c=7.4946 alpha=90.00 beta=90.00 gamma=90.00
Space group Ibam (No. 72)
Symmetry-distinct sites (fractional):
Cs 0.2468 0.1229 0.0000 (multiplicity 8)
Tl 0.0000 0.2556 0.2500 (multiplicity 8)
Tl 0.0000 0.5000 0.2500 (multiplicity 4)
Tl 0.1281 0.1252 0.5000 (multiplicity 8)
Bi 0.0000 0.0000 0.2500 (multiplicity 4)
Bi 0.1324 0.3788 0.0000 (multiplicity 8)

Record 5
Calculated powder diffraction line list
Compound: Cs2Tl7Bi
Radiation: Cu Kα (weighted mean of Kα1 and Kα2)
Structure: a cell relaxed with PBE
Neutral-atom scattering factors, no anomalous dispersion.

Largest 6 diffraction maxima, by intensity, 10° ≤ 2θ ≤ 90°:
2θ 27.1, rel. 100
2θ 34.0, rel. 72
2θ 35.1, rel. 66
2θ 25.4, rel. 46
2θ 36.2, rel. 32
2θ 61.6, rel. 27

Atomic structure:
Unit cell a=5.2679 b=5.2679 c=14.0448 alpha=90.00 beta=90.00 gamma=90.00
Space group P-4m2 (No. 115)
Symmetry-distinct sites (fractional):
Cs 0.0000 0.5000 0.2451 (multiplicity 2)
Tl 0.0000 0.0000 0.0000 (multiplicity 1)
Tl 0.0000 0.0000 0.5000 (multiplicity 1)
Tl 0.0000 0.5000 0.6306 (multiplicity 2)
Tl 0.0000 0.5000 0.8617 (multiplicity 2)
Tl 0.5000 0.5000 0.5000 (multiplicity 1)
Bi 0.5000 0.5000 0.0000 (multiplicity 1)

Record 6
Calculated powder diffraction line list
Compound: CsTl3Bi2
Radiation: Cu Kα (weighted mean of Kα1 and Kα2)
Structure: a cell relaxed with PBE
Neutral-atom scattering factors, no anomalous dispersion.

Largest 6 diffraction maxima, by intensity, 10° ≤ 2θ ≤ 90°:
2θ 27.1, rel. 100
2θ 11.2, rel. 72
2θ 34.5, rel. 67
2θ 33.0, rel. 67
2θ 28.2, rel. 66
2θ 32.5, rel. 55

Atomic structure:
Unit cell a=20.8296 b=5.4233 c=9.0609 alpha=90.00 beta=109.85 gamma=90.00
Space group C2/m (No. 12)
Symmetry-distinct sites (fractional):
Cs 0.1411 0.0000 0.2139 (multiplicity 4)
Tl 0.0442 0.0000 0.6855 (multiplicity 4)
Tl 0.1034 0.5000 0.5274 (multiplicity 4)
Tl 0.1848 0.5000 0.9219 (multiplicity 4)
Bi 0.0182 0.5000 0.8410 (multiplicity 4)
Bi 0.2016 0.0000 0.7248 (multiplicity 4)

Record 7
Calculated powder diffraction line list
Compound: Cs3Tl7Bi4
Radiation: Cu Kα (weighted mean of Kα1 and Kα2)
Structure: a cell relaxed with PBE
Neutral-atom scattering factors, no anomalous dispersion.

Largest 6 diffraction maxima, by intensity, 10° ≤ 2θ ≤ 90°:
2θ 26.9, rel. 100
2θ 27.8, rel. 98
2θ 33.7, rel. 90
2θ 34.4, rel. 64
2θ 32.3, rel. 51
2θ 27.5, rel. 47

Atomic structure:
Unit cell a=20.2317 b=5.3165 c=12.3171 alpha=90.00 beta=124.60 gamma=90.00
Space group C2/m (No. 12)
Symmetry-distinct sites (fractional):
Cs 0.0000 0.0000 0.0000 (multiplicity 2)
Cs 0.1970 0.5000 0.6967 (multiplicity 4)
Tl 0.0000 0.0000 0.5000 (multiplicity 2)
Tl 0.9998 0.5000 0.3036 (multiplicity 4)
Tl 0.1560 0.0000 0.4436 (multiplicity 4)
Tl 0.1809 0.5000 0.0363 (multiplicity 4)
Bi 0.1229 0.0000 0.8423 (multiplicity 4)
Bi 0.1520 0.5000 0.2852 (multiplicity 4)

Record 8
Calculated powder diffraction line list
Compound: CsTl8Bi2
Radiation: Cu Kα (weighted mean of Kα1 and Kα2)
Structure: a cell relaxed with PBE
Neutral-atom scattering factors, no anomalous dispersion.

Largest 6 diffraction maxima, by intensity, 10° ≤ 2θ ≤ 90°:
2θ 30.9, rel. 100
2θ 36.0, rel. 44
2θ 37.4, rel. 39
2θ 63.4, rel. 26
2θ 20.1, rel. 24
2θ 26.2, rel. 24

Atomic structure:
Unit cell a=6.8048 b=6.8048 c=11.0331 alpha=90.00 beta=90.00 gamma=90.00
Space group P4/mmm (No. 123)
Symmetry-distinct sites (fractional):
Cs 0.0000 0.0000 0.0000 (multiplicity 1)
Tl 0.2519 0.2519 0.2968 (multiplicity 8)
Bi 0.0000 0.5000 0.5000 (multiplicity 2)